[1]
Structure and calculated powder XRD pattern of K2MgCo2O4 (a crystal structure in the Materials Project, relaxed with PBE+U; copper Kα).
Peak positions follow from Bragg's law for the DFT cell and can differ from measured ones.

Peak list (10 most intense, 2θ from 10° to 90°, low angle first)
| d_spacing | two_theta | I (rel.) |
| --- | --- | --- |
| 6.215 | 14.25 | 100 |
| 3.734 | 23.83 | 57 |
| 3.271 | 27.26 | 70 |
| 3.202 | 27.86 | 85 |
| 2.945 | 30.35 | 88 |
| 2.789 | 32.09 | 92 |
| 2.698 | 33.21 | 80 |
| 2.368 | 38.01 | 47 |
| 2.135 | 42.34 | 76 |
| 1.931 | 47.05 | 47 |

Structure:
```
data_K2MgCo2O4
_chemical_formula_sum 'K2 Mg1 Co2 O4'
_cell_length_a 7.0784
_cell_length_b 7.0784
_cell_length_c 7.0821
_cell_angle_alpha 114.48
_cell_angle_beta 114.48
_cell_angle_gamma 27.72
_space_group_name_H-M_alt 'P 1'
_space_group_IT_number 1
_space_group_name_Hall 'P 1'
loop_
_atom_site_label
_atom_site_type_symbol
_atom_site_fract_x
_atom_site_fract_y
_atom_site_fract_z
K1 K 0.0000 0.0000 0.0000
K2 K 0.5000 0.5000 0.4944
Mg1 Mg 0.7087 0.7087 0.3445
Co1 Co 0.2358 0.2358 0.0070
Co2 Co 0.3032 0.3032 0.6705
O1 O 0.1557 0.1557 0.4189
O2 O 0.3578 0.3578 0.9755
O3 O 0.6692 0.6692 0.0366
O4 O 0.8570 0.8570 0.5811
```

---

[2]
Structure and calculated powder XRD pattern of Sr3CaTi3MnO12 (a crystal structure in the Materials Project, relaxed with PBE+U; copper Kα).
Peak positions follow from Bragg's law for the DFT cell and can differ from measured ones.

Peak list (10 most intense, 2θ from 10° to 90°, low angle first)
| d_spacing | two_theta | I (rel.) |
| --- | --- | --- |
| 2.773 | 32.29 | 100 |
| 2.756 | 32.48 | 49 |
| 2.259 | 39.90 | 26 |
| 1.972 | 46.02 | 22 |
| 1.949 | 46.60 | 42 |
| 1.604 | 57.45 | 19 |
| 1.595 | 57.82 | 36 |
| 1.386 | 67.57 | 24 |
| 1.378 | 68.02 | 12 |
| 1.130 | 86.06 | 12 |

Structure:
```
data_Sr3CaTi3MnO12
_chemical_formula_sum 'Sr6 Ca2 Ti6 Mn2 O24'
_cell_length_a 7.8896
_cell_length_b 7.7935
_cell_length_c 7.7994
_cell_angle_alpha 90.00
_cell_angle_beta 90.00
_cell_angle_gamma 90.00
_space_group_name_H-M_alt 'P 1'
_space_group_IT_number 1
_space_group_name_Hall 'P 1'
loop_
_atom_site_label
_atom_site_type_symbol
_atom_site_fract_x
_atom_site_fract_y
_atom_site_fract_z
Sr1 Sr 0.2500 0.2465 0.0000
Sr2 Sr 0.2500 0.2468 0.4932
Sr3 Sr 0.2500 0.7532 0.4931
Sr4 Sr 0.7500 0.2468 0.4931
Sr5 Sr 0.7500 0.7532 0.4932
Sr6 Sr 0.7500 0.7535 0.0000
Ca1 Ca 0.2500 0.7535 0.0001
Ca2 Ca 0.7500 0.2465 0.0001
Ti1 Ti 0.0000 0.0000 0.7487
Ti2 Ti 0.0000 0.5000 0.2451
Ti3 Ti 0.0000 0.5000 0.7480
Ti4 Ti 0.5000 0.0000 0.7487
Ti5 Ti 0.5000 0.5000 0.2451
Ti6 Ti 0.5000 0.5000 0.7480
Mn1 Mn 0.0000 0.0000 0.2457
Mn2 Mn 0.5000 0.0000 0.2457
O1 O 0.0000 0.0000 0.4944
O2 O 0.0000 0.0000 0.9989
O3 O 0.0000 0.5000 0.4959
O4 O 0.0000 0.5000 0.9971
O5 O 0.0016 0.7505 0.7491
O6 O 0.0020 0.7522 0.2438
O7 O 0.2500 0.5016 0.2439
O8 O 0.2500 0.5017 0.7492
O9 O 0.2500 0.9971 0.2432
O10 O 0.2500 0.9983 0.7491
O11 O 0.4984 0.7505 0.7491
O12 O 0.4980 0.7522 0.2438
O13 O 0.5000 0.0000 0.4944
O14 O 0.5000 0.0000 0.9989
O15 O 0.5000 0.5000 0.4959
O16 O 0.5000 0.5000 0.9971
O17 O 0.5020 0.2478 0.2438
O18 O 0.5016 0.2495 0.7491
O19 O 0.7500 0.0017 0.7491
O20 O 0.7500 0.0029 0.2432
O21 O 0.7500 0.4984 0.2439
O22 O 0.7500 0.4983 0.7492
O23 O 0.9980 0.2478 0.2438
O24 O 0.9984 0.2495 0.7491
```

---

[3]
Structure and calculated powder XRD pattern of ZnNi3B4O10 (a crystal structure in the Materials Project, relaxed with PBE+U; copper Kα).
Peak positions follow from Bragg's law for the DFT cell and can differ from measured ones.

Peak list (10 most intense, 2θ from 10° to 90°, low angle first)
| d_spacing | two_theta | I (rel.) |
| --- | --- | --- |
| 4.502 | 19.72 | 100 |
| 3.005 | 29.73 | 18 |
| 2.985 | 29.93 | 21 |
| 2.841 | 31.49 | 34 |
| 2.599 | 34.50 | 82 |
| 2.548 | 35.22 | 49 |
| 2.442 | 36.81 | 18 |
| 2.024 | 44.77 | 35 |
| 1.964 | 46.23 | 27 |
| 1.897 | 47.95 | 25 |

Structure:
```
data_ZnNi3B4O10
_chemical_formula_sum 'Zn1 Ni3 B4 O10'
_cell_length_a 3.1469
_cell_length_b 6.2066
_cell_length_c 9.2476
_cell_angle_alpha 104.27
_cell_angle_beta 90.61
_cell_angle_gamma 92.33
_space_group_name_H-M_alt 'P 1'
_space_group_IT_number 1
_space_group_name_Hall 'P 1'
loop_
_atom_site_label
_atom_site_type_symbol
_atom_site_fract_x
_atom_site_fract_y
_atom_site_fract_z
Zn1 Zn 0.0000 0.0000 0.0000
Ni1 Ni 0.4583 0.4219 0.7096
Ni2 Ni 0.4963 0.8381 0.2566
Ni3 Ni 0.9720 0.5935 0.4619
B1 B 0.0384 0.5325 0.0024
B2 B 0.0651 0.0949 0.5276
B3 B 0.4009 0.3356 0.1935
B4 B 0.4306 0.8971 0.7153
O1 O 0.1793 0.3567 0.0617
O2 O 0.2888 0.0735 0.6583
O3 O 0.4717 0.5227 0.3092
O4 O 0.4763 0.6922 0.6188
O5 O 0.4997 0.9413 0.8641
O6 O 0.5173 0.1257 0.1854
O7 O 0.9535 0.3089 0.5409
O8 O 0.9663 0.4919 0.8538
O9 O 0.9939 0.7380 0.1015
O10 O 0.9937 0.9109 0.4117
```

---

[4]
Structure and calculated powder XRD pattern of Rb3Li2GaMo4O16 (a crystal structure in the Materials Project, relaxed with PBE+U; copper Kα).
Peak positions follow from Bragg's law for the DFT cell and can differ from measured ones.

Peak list (10 most intense, 2θ from 10° to 90°, low angle first)
| d_spacing | two_theta | I (rel.) |
| --- | --- | --- |
| 5.046 | 17.57 | 13 |
| 3.909 | 22.75 | 24 |
| 3.303 | 26.99 | 100 |
| 2.763 | 32.40 | 11 |
| 2.635 | 34.02 | 13 |
| 2.257 | 39.95 | 11 |
| 2.005 | 45.23 | 14 |
| 1.822 | 50.06 | 10 |
| 1.748 | 52.34 | 9 |
| 1.652 | 55.65 | 8 |

Structure:
```
data_Rb3Li2GaMo4O16
_chemical_formula_sum 'Rb6 Li4 Ga2 Mo8 O32'
_cell_length_a 10.7038
_cell_length_b 10.7038
_cell_length_c 10.7038
_cell_angle_alpha 109.44
_cell_angle_beta 109.44
_cell_angle_gamma 109.53
_space_group_name_H-M_alt 'P 1'
_space_group_IT_number 1
_space_group_name_Hall 'P 1'
loop_
_atom_site_label
_atom_site_type_symbol
_atom_site_fract_x
_atom_site_fract_y
_atom_site_fract_z
Rb1 Rb 0.0000 0.0000 0.0000
Rb2 Rb 0.2375 0.1250 0.6125
Rb3 Rb 0.3750 0.7625 0.8875
Rb4 Rb 0.5125 0.6250 0.3875
Rb5 Rb 0.7500 0.2500 0.5000
Rb6 Rb 0.8750 0.4875 0.1125
Li1 Li 0.3750 0.2493 0.3743
Li2 Li 0.7507 0.1250 0.1257
Li3 Li 0.8750 0.0007 0.6257
Li4 Li 0.9993 0.6250 0.8743
Ga1 Ga 0.2500 0.7500 0.5000
Ga2 Ga 0.5000 0.5000 0.0000
Mo1 Mo 0.1256 0.3780 0.4466
Mo2 Mo 0.1280 0.3756 0.9466
Mo3 Mo 0.3210 0.8744 0.2524
Mo4 Mo 0.4290 0.1814 0.0534
Mo5 Mo 0.6220 0.0686 0.7476
Mo6 Mo 0.6244 0.5710 0.7524
Mo7 Mo 0.8186 0.8720 0.2476
Mo8 Mo 0.9314 0.6790 0.5534
O1 O 0.0079 0.4468 0.8773
O2 O 0.0562 0.1836 0.8079
O3 O 0.0761 0.7487 0.4942
O4 O 0.1242 0.3760 0.1093
O5 O 0.1260 0.3742 0.6093
O6 O 0.1805 0.8032 0.0611
O7 O 0.1968 0.2579 0.3773
O8 O 0.2513 0.7455 0.3274
O9 O 0.2545 0.5819 0.5058
O10 O 0.2667 0.0149 0.8907
O11 O 0.3319 0.5045 0.0058
O12 O 0.3743 0.0664 0.3726
O13 O 0.3757 0.2483 0.1921
O14 O 0.4181 0.9239 0.6726
O15 O 0.4833 0.8740 0.2482
O16 O 0.4955 0.5013 0.8274
O17 O 0.4987 0.3261 0.9942
O18 O 0.5532 0.4305 0.5611
O19 O 0.5695 0.1306 0.1227
O20 O 0.6240 0.7333 0.7482
O21 O 0.6258 0.2351 0.7518
O22 O 0.6739 0.6681 0.1726
O23 O 0.6938 0.0017 0.6274
O24 O 0.7421 0.1194 0.9389
O25 O 0.7517 0.9438 0.1274
O26 O 0.7649 0.5167 0.3907
O27 O 0.8164 0.6243 0.8726
O28 O 0.8694 0.9921 0.4389
O29 O 0.8806 0.8195 0.6227
O30 O 0.9336 0.3062 0.3079
O31 O 0.9851 0.8758 0.2518
O32 O 0.9983 0.6257 0.6921
```